This entry pairs a crystal structure of K4Pm3MnO8 with its calculated powder XRD pattern. Radiation: Cu Kα X-rays. Structure: a structure optimized by DFT (GGA+U).
Neutral-atom scattering factors, no anomalous dispersion.

Atomic structure:
Lattice parameters (Å, degrees): 7.140 7.140 7.404 117.29 117.29 57.78
Positions (direct):
K: 0.000 0.000 0.000
K: 0.000 0.500 0.000
K: 0.500 0.000 0.000
K: 0.500 0.500 0.000
Pm: 0.000 0.000 0.500
Pm: 0.000 0.500 0.500
Pm: 0.500 0.000 0.500
Mn: 0.500 0.500 0.500
O: 0.222 0.222 0.691
O: 0.238 0.238 0.278
O: 0.263 0.694 0.667
O: 0.306 0.737 0.333
O: 0.694 0.263 0.667
O: 0.737 0.306 0.333
O: 0.762 0.762 0.722
O: 0.778 0.778 0.309

Main lines, by angle (5° ≤ 2θ ≤ 70°):
Position (°2θ)  I/Imax
14.04  100
28.29  43
30.56  31
30.89  60
33.65  50
35.63  82
48.35  30
51.26  28